The following is a calculated powder diffractogram of CsRbIn2Br8. It was derived from a DFT-relaxed cell (GGA-PBE, Alexandria), using Cu Kα, 1.54184 Å.

Structural model:
Unit cell a=7.581 b=7.581 c=17.964 alpha=90.00 beta=90.00 gamma=90.00
Space group I-4 (No. 82)
Unique sites:
Cs (0.000, 0.000, 0.000) x2
Rb (0.000, 0.500, 0.750) x2
In (0.000, 0.000, 0.500) x2
In (0.000, 0.500, 0.250) x2
Br (0.133, 0.243, 0.581) x8
Br (0.144, 0.742, 0.172) x8

Largest 8 diffraction maxima, sorted by position, 10 to 90 degrees two-theta:
- (1 1 2), 2θ = 19.28°, I 100
- (1 1 4), 2θ = 25.88°, I 49
- (2 1 1), 2θ = 26.76°, I 41
- (1 2 3), 2θ = 30.29°, I 23
- (2 0 4), 2θ = 30.87°, I 54
- (1 3 2), 2θ = 38.88°, I 36
- (2 0 8), 2θ = 47.04°, I 23
- (3 1 6), 2θ = 48.65°, I 33